# Ho2AlGaNi4
Simulated powder X-ray diffraction pattern, Cu Kα (λ = 1.5418 Å). Input: a structure optimized by DFT (PBE).

Peak list (10 most intense, 5 to 70 degrees two-theta, by intensity)
| d_spacing | 2theta | intensity |
| --- | --- | --- |
| 2.279 | 39.5 | 100 |
| 2.070 | 43.7 | 72 |
| 3.324 | 26.8 | 45 |
| 1.532 | 60.4 | 28 |
| 3.586 | 24.8 | 26 |
| 2.787 | 32.1 | 21 |
| 1.512 | 61.3 | 20 |
| 2.214 | 40.8 | 11 |
| 1.365 | 68.8 | 10 |
| 1.757 | 52.0 | 8 |

Structural model:
```
Ho2AlGaNi4
1.0
4.1408 0.0000 0.0000
-2.0704 3.5861 0.0000
0.0000 0.0000 8.8546
Ho Al Ga Ni
2 1 1 4
direct
0.3333 0.6667 0.2495 Ho
0.6667 0.3333 0.7505 Ho
0.0000 0.0000 0.5000 Al
0.0000 0.0000 0.0000 Ga
0.3333 0.6667 0.5628 Ni
0.3333 0.6667 0.9373 Ni
0.6667 0.3333 0.0627 Ni
0.6667 0.3333 0.4372 Ni
```

---

# NaTlPtPb
Simulated powder X-ray diffraction pattern, Cu Kα (λ = 1.5418 Å). Input: a structure optimized by DFT (PBE).

Peak list (10 most intense, 5 to 70 degrees two-theta, by intensity)
| d_spacing | 2theta | intensity |
| --- | --- | --- |
| 2.279 | 39.5 | 100 |
| 2.897 | 30.9 | 85 |
| 5.550 | 16.0 | 76 |
| 2.336 | 38.5 | 55 |
| 2.187 | 41.3 | 49 |
| 4.070 | 21.8 | 48 |
| 2.326 | 38.7 | 46 |
| 2.675 | 33.5 | 36 |
| 2.825 | 31.7 | 33 |
| 2.296 | 39.2 | 30 |

Structural model:
```
NaTlPtPb
1.0
4.3747 0.0000 0.0000
-2.1793 5.5502 0.0000
0.0000 -0.0510 8.2513
Na Tl Pt Pb
2 2 2 2
direct
0.0679 0.1342 0.2567 Na
0.9321 0.8658 0.7433 Na
0.3577 0.7178 0.4588 Tl
0.6423 0.2822 0.5412 Tl
0.2174 0.4328 0.7545 Pt
0.7826 0.5672 0.2455 Pt
0.3580 0.7179 0.0513 Pb
0.6420 0.2821 0.9487 Pb
```

---

# Ba7Ir6O19
Simulated powder X-ray diffraction pattern, Cu Kα (λ = 1.5418 Å). Input: a structure optimized by DFT (PBE).

Peak list (10 most intense, 5 to 70 degrees two-theta, by intensity)
| d_spacing | 2theta | intensity |
| --- | --- | --- |
| 2.921 | 30.6 | 100 |
| 2.879 | 31.1 | 51 |
| 3.274 | 27.2 | 37 |
| 4.697 | 18.9 | 31 |
| 5.434 | 16.3 | 28 |
| 2.174 | 41.5 | 22 |
| 3.316 | 26.9 | 21 |
| 1.670 | 55.0 | 20 |
| 1.460 | 63.7 | 16 |
| 1.995 | 45.5 | 15 |

Structural model:
```
Ba7Ir6O19
1.0
7.4469 -2.8795 0.0000
7.4469 2.8795 0.0000
-1.8287 0.0000 10.8682
Ba Ir O
7 6 19
direct
0.0000 0.0000 0.0000 Ba
0.0730 0.0730 0.6622 Ba
0.3021 0.3021 0.9076 Ba
0.3560 0.3560 0.5539 Ba
0.6440 0.6440 0.4461 Ba
0.6979 0.6979 0.0924 Ba
0.9270 0.9270 0.3378 Ba
0.1559 0.1559 0.2833 Ir
0.3173 0.3173 0.2346 Ir
0.4769 0.4769 0.1770 Ir
0.5231 0.5231 0.8230 Ir
0.6827 0.6827 0.7654 Ir
0.8441 0.8441 0.7167 Ir
0.0257 0.4906 0.3388 O
0.1037 0.1037 0.4382 O
0.1398 0.6083 0.1305 O
0.1792 0.6781 0.7930 O
0.2010 0.2010 0.1120 O
0.3219 0.8208 0.2070 O
0.3917 0.8602 0.8695 O
0.4442 0.4442 0.3514 O
0.4906 0.0257 0.3388 O
0.5000 0.5000 0.0000 O
0.5094 0.9743 0.6612 O
0.5558 0.5558 0.6486 O
0.6083 0.1398 0.1305 O
0.6781 0.1792 0.7930 O
0.7990 0.7990 0.8880 O
0.8208 0.3219 0.2070 O
0.8602 0.3917 0.8695 O
0.8963 0.8963 0.5618 O
0.9743 0.5094 0.6612 O
```

---

# CsRb3Zn2Ge2
Simulated powder X-ray diffraction pattern, Cu Kα (λ = 1.5418 Å). Input: a structure optimized by DFT (PBE).

Peak list (10 most intense, 5 to 70 degrees two-theta, by intensity)
| d_spacing | 2theta | intensity |
| --- | --- | --- |
| 3.412 | 26.1 | 100 |
| 3.023 | 29.5 | 70 |
| 3.005 | 29.7 | 64 |
| 2.934 | 30.5 | 38 |
| 3.378 | 26.4 | 36 |
| 2.539 | 35.4 | 33 |
| 3.288 | 27.1 | 30 |
| 1.805 | 50.6 | 26 |
| 1.817 | 50.2 | 24 |
| 1.872 | 48.6 | 17 |

Structural model:
```
CsRb3Zn2Ge2
1.0
6.8606 0.0000 0.0000
0.0000 6.5765 0.0000
-2.2712 0.0000 6.5434
Cs Rb Zn Ge
1 3 2 2
direct
0.0000 0.0000 0.0000 Cs
0.3026 0.5000 0.3095 Rb
0.6612 0.0000 0.3328 Rb
0.9624 0.5000 0.6394 Rb
0.4765 0.2496 0.8199 Zn
0.4765 0.7504 0.8199 Zn
0.2607 0.0000 0.5839 Ge
0.7027 0.5000 0.0470 Ge
```